This entry pairs a crystal structure of Li2Sc2GaGePt2 with its simulated X-ray powder pattern. Radiation: Cu Kα (weighted mean of Kα1 and Kα2). Structure: a crystal structure in OQMD, relaxed with GGA-PBE.
Kinematic intensities with the Lorentz-polarization factor, no thermal factor.

Structure:
```
data_Li2Sc2GaGePt2
_symmetry_space_group_name_H-M 'P -4 m 2'
_symmetry_Int_Tables_number 115
_symmetry_space_group_name_Hall 'P -4 -2'
_cell_length_a 4.4573
_cell_length_b 4.4573
_cell_length_c 6.3291
_cell_angle_alpha 90.00
_cell_angle_beta 90.00
_cell_angle_gamma 90.00
loop_
_atom_site_label
_atom_site_type_symbol
_atom_site_fract_x
_atom_site_fract_y
_atom_site_fract_z
Li1 Li 0.0000 0.5000 0.2500
Sc1 Sc 0.0000 0.0000 0.0000
Sc2 Sc 0.5000 0.5000 0.5000
Ga1 Ga 0.0000 0.0000 0.5000
Ge1 Ge 0.5000 0.5000 0.0000
Pt1 Pt 0.0000 0.5000 0.7500
```

Peak list (6 most intense, 2θ from 10° to 80°, sorted by position)
- 2θ 24.4, rel. 88.2
- 2θ 40.4, rel. 100.0
- 2θ 47.7, rel. 15.1
- 2θ 47.8, rel. 29.9
- 2θ 64.3, rel. 12.5
- 2θ 73.6, rel. 22.4